Theoretical PXRD pattern of CoH18C20N4O2 for a wavelength of 1.5418 Å, from a PBE+U-relaxed structure.
Intensities are scaled so that the largest is 100.

Most intense lines, 15° ≤ 2θ ≤ 90°, low angle first:
two_theta, d [Å], I (rel.)
15.32, 5.784, 61
18.28, 4.853, 100
23.15, 3.842, 41
23.52, 3.783, 72
24.14, 3.687, 88
24.89, 3.578, 64
25.36, 3.513, 32
27.52, 3.241, 61
32.67, 2.741, 55
37.46, 2.401, 32

Structural model:
abc: 6.408 8.128 8.697
angles: 86.69 73.57 87.98
Element x y z (fractional)
Co (0.000, 0.000, 0.000)
H (0.124, 0.575, 0.750)
H (0.130, 0.307, 0.556)
H (0.238, 0.795, 0.440)
H (0.279, 0.932, 0.680)
H (0.289, 0.569, 0.070)
H (0.374, 0.129, 0.080)
H (0.442, 0.265, 0.306)
H (0.467, 0.558, 0.340)
H (0.495, 0.122, 0.783)
H (0.505, 0.878, 0.217)
H (0.533, 0.442, 0.660)
H (0.558, 0.735, 0.694)
H (0.626, 0.871, 0.920)
H (0.711, 0.431, 0.930)
H (0.721, 0.068, 0.320)
H (0.762, 0.205, 0.560)
H (0.870, 0.693, 0.444)
H (0.876, 0.425, 0.250)
C (0.037, 0.324, 0.861)
C (0.098, 0.810, 0.543)
C (0.106, 0.246, 0.454)
C (0.123, 0.886, 0.676)
C (0.175, 0.450, 0.775)
C (0.189, 0.681, 0.063)
C (0.242, 0.146, 0.189)
C (0.279, 0.223, 0.317)
C (0.367, 0.215, 0.790)
C (0.385, 0.381, 0.729)
C (0.615, 0.619, 0.271)
C (0.633, 0.785, 0.210)
C (0.721, 0.777, 0.683)
C (0.758, 0.854, 0.811)
C (0.811, 0.319, 0.937)
C (0.825, 0.550, 0.225)
C (0.877, 0.114, 0.324)
C (0.894, 0.754, 0.546)
C (0.902, 0.190, 0.457)
C (0.963, 0.676, 0.139)
N (0.044, 0.093, 0.191)
N (0.159, 0.181, 0.869)
N (0.841, 0.819, 0.131)
N (0.956, 0.907, 0.809)
O (0.278, 0.809, 0.987)
O (0.722, 0.191, 0.013)